(1)
Diffraction record for K3Tl. The X-ray powder pattern is simulated, not measured: it uses a structure optimized by DFT (GGA-PBE) and copper Kα.
Neutral-atom scattering factors, no anomalous dispersion.

Atomic structure:
```
data_K3Tl
_symmetry_space_group_name_H-M 'P m -3 m'
_symmetry_Int_Tables_number 221
_symmetry_space_group_name_Hall '-P 4 2 3'
_cell_length_a 5.9064
_cell_length_b 5.9064
_cell_length_c 5.9064
_cell_angle_alpha 90.00
_cell_angle_beta 90.00
_cell_angle_gamma 90.00
loop_
_atom_site_label
_atom_site_fract_x
_atom_site_fract_y
_atom_site_fract_z
K1 0.0000 0.0000 0.5000
Tl1 0.5000 0.5000 0.5000
```

Peak list (6 most intense, 2θ = 10–90°, by angle)
| hkl | 2θ/deg | Rel. int. |
| --- | --- | --- |
| 1 0 0 | 15.0 | 61 |
| 1 1 0 | 21.3 | 56 |
| 1 1 1 | 26.1 | 100 |
| 2 0 0 | 30.3 | 51 |
| 2 2 0 | 43.3 | 37 |
| 3 1 1 | 51.3 | 44 |



(2)
Diffraction record for LiSmGe. The X-ray powder pattern is simulated, not measured: it uses a structure optimized by DFT (GGA-PBE) and copper Kα.
Neutral-atom scattering factors, no anomalous dispersion.

Atomic structure:
```
data_LiSmGe
_symmetry_space_group_name_H-M 'P -6 2 m'
_symmetry_Int_Tables_number 189
_symmetry_space_group_name_Hall 'P -6 -2'
_cell_length_a 7.2231
_cell_length_b 7.2231
_cell_length_c 4.3344
_cell_angle_alpha 90.00
_cell_angle_beta 90.00
_cell_angle_gamma 120.00
loop_
_atom_site_label
_atom_site_fract_x
_atom_site_fract_y
_atom_site_fract_z
Li1 0.0000 0.7671 0.0000
Sm1 0.0000 0.4205 0.5000
Ge1 0.0000 0.0000 0.5000
Ge2 0.3333 0.6667 0.0000
```

Peak list (6 most intense, 2θ = 10–90°, by angle)
| hkl | 2θ/deg | Rel. int. |
| --- | --- | --- |
| 0 0 1 | 20.5 | 39 |
| 1 1 0 | 24.7 | 40 |
| 2 0 0 | 28.5 | 38 |
| 1 1 1 | 32.3 | 83 |
| 2 0 1 | 35.4 | 100 |
| 3 1 1 | 57.2 | 31 |



(3)
Diffraction record for CeHoZn2. The X-ray powder pattern is simulated, not measured: it uses a structure optimized by DFT (GGA-PBE) and copper Kα.
Neutral-atom scattering factors, no anomalous dispersion.

Atomic structure:
```
data_CeHoZn2
_symmetry_space_group_name_H-M 'F m -3 m'
_symmetry_Int_Tables_number 225
_symmetry_space_group_name_Hall '-F 4 2 3'
_cell_length_a 7.1873
_cell_length_b 7.1873
_cell_length_c 7.1873
_cell_angle_alpha 90.00
_cell_angle_beta 90.00
_cell_angle_gamma 90.00
loop_
_atom_site_label
_atom_site_fract_x
_atom_site_fract_y
_atom_site_fract_z
Ce1 0.0000 0.0000 0.0000
Ho1 0.0000 0.0000 0.5000
Zn1 0.2500 0.2500 0.2500
```

Peak list (6 most intense, 2θ = 10–90°, by angle)
| hkl | 2θ/deg | Rel. int. |
| --- | --- | --- |
| 2 0 0 | 24.8 | 16 |
| 2 2 0 | 35.3 | 100 |
| 4 0 0 | 50.8 | 18 |
| 4 2 2 | 63.4 | 36 |
| 4 4 0 | 74.7 | 11 |
| 6 2 0 | 85.4 | 16 |



(4)
Diffraction record for ZrCrMo. The X-ray powder pattern is simulated, not measured: it uses a structure optimized by DFT (GGA-PBE) and copper Kα.
Neutral-atom scattering factors, no anomalous dispersion.

Atomic structure:
```
data_ZrCrMo
_symmetry_space_group_name_H-M 'I m m a'
_symmetry_Int_Tables_number 74
_symmetry_space_group_name_Hall '-I 2b 2'
_cell_length_a 5.1867
_cell_length_b 5.3139
_cell_length_c 7.3702
_cell_angle_alpha 90.00
_cell_angle_beta 90.00
_cell_angle_gamma 90.00
loop_
_atom_site_label
_atom_site_fract_x
_atom_site_fract_y
_atom_site_fract_z
Zr1 0.0000 0.2500 0.1230
Cr1 0.2500 0.2500 0.7500
Mo1 0.0000 0.0000 0.5000
```

Peak list (6 most intense, 2θ = 10–90°, by angle)
| hkl | 2θ/deg | Rel. int. |
| --- | --- | --- |
| 1 1 2 | 34.3 | 50 |
| 1 2 1 | 40.0 | 100 |
| 1 0 3 | 40.6 | 96 |
| 0 2 2 | 41.9 | 36 |
| 2 0 2 | 42.6 | 36 |
| 2 2 4 | 72.3 | 36 |



(5)
Diffraction record for Cs2KSbF6. The X-ray powder pattern is simulated, not measured: it uses a structure optimized by DFT (GGA-PBE) and copper Kα.
Neutral-atom scattering factors, no anomalous dispersion.

Atomic structure:
```
data_Cs2KSbF6
_symmetry_space_group_name_H-M 'F m -3 m'
_symmetry_Int_Tables_number 225
_symmetry_space_group_name_Hall '-F 4 2 3'
_cell_length_a 9.6429
_cell_length_b 9.6429
_cell_length_c 9.6429
_cell_angle_alpha 90.00
_cell_angle_beta 90.00
_cell_angle_gamma 90.00
loop_
_atom_site_label
_atom_site_fract_x
_atom_site_fract_y
_atom_site_fract_z
Cs1 0.2500 0.2500 0.2500
K1 0.0000 0.0000 0.0000
Sb1 0.0000 0.0000 0.5000
F1 0.0000 0.0000 0.2703
```

Peak list (6 most intense, 2θ = 10–90°, by angle)
| hkl | 2θ/deg | Rel. int. |
| --- | --- | --- |
| 2 2 0 | 26.1 | 100 |
| 4 0 0 | 37.3 | 37 |
| 4 2 2 | 46.1 | 41 |
| 4 4 0 | 53.8 | 24 |
| 6 2 0 | 60.7 | 19 |
| 6 4 2 | 73.5 | 22 |



(6)
Diffraction record for ZnI2. The X-ray powder pattern is simulated, not measured: it uses a structure optimized by DFT (GGA-PBE) and copper Kα.
Neutral-atom scattering factors, no anomalous dispersion.

Atomic structure:
```
data_ZnI2
_symmetry_space_group_name_H-M 'R -3 m'
_symmetry_Int_Tables_number 166
_symmetry_space_group_name_Hall '-R 3 2"'
_cell_length_a 4.1065
_cell_length_b 4.1065
_cell_length_c 21.3990
_cell_angle_alpha 90.00
_cell_angle_beta 90.00
_cell_angle_gamma 120.00
loop_
_atom_site_label
_atom_site_fract_x
_atom_site_fract_y
_atom_site_fract_z
Zn1 0.0000 0.0000 0.0000
I1 0.0000 0.0000 0.2572
```

Peak list (6 most intense, 2θ = 10–90°, by angle)
| hkl | 2θ/deg | Rel. int. |
| --- | --- | --- |
| 0 0 3 | 12.4 | 30 |
| 0 1 2 | 26.4 | 44 |
| 1 0 4 | 30.2 | 100 |
| 0 1 8 | 42.3 | 36 |
| 1 1 0 | 44.1 | 36 |
| 0 2 4 | 54.4 | 18 |



(7)
Diffraction record for Er2Co12Ni5. The X-ray powder pattern is simulated, not measured: it uses a structure optimized by DFT (GGA-PBE) and copper Kα.
Neutral-atom scattering factors, no anomalous dispersion.

Atomic structure:
```
data_Er2Co12Ni5
_symmetry_space_group_name_H-M 'P 63/m m c'
_symmetry_Int_Tables_number 194
_symmetry_space_group_name_Hall '-P 6c 2c'
_cell_length_a 8.2861
_cell_length_b 8.2861
_cell_length_c 8.0485
_cell_angle_alpha 90.00
_cell_angle_beta 90.00
_cell_angle_gamma 120.00
loop_
_atom_site_label
_atom_site_fract_x
_atom_site_fract_y
_atom_site_fract_z
Er1 0.0000 0.0000 0.2500
Er2 0.3333 0.6667 0.2500
Co1 0.0486 0.3752 0.7500
Co2 0.1623 0.3246 0.0242
Ni1 0.0000 0.5000 0.0000
Ni2 0.3333 0.6667 0.5989
```

Peak list (6 most intense, 2θ = 10–90°, by angle)
| hkl | 2θ/deg | Rel. int. |
| --- | --- | --- |
| 1 1 2 | 31.0 | 42 |
| 3 0 0 | 37.6 | 43 |
| 2 0 3 | 42.1 | 47 |
| 2 2 0 | 43.7 | 69 |
| 3 0 2 | 44.0 | 100 |
| 0 0 4 | 45.1 | 33 |